For Tm3AlNi8, a crystal structure in OQMD, relaxed with PBE gives the computed PXRD pattern in this record (Cu Kα X-rays).
Neutral-atom scattering factors, no anomalous dispersion.

Most intense lines, 15° ≤ 2θ ≤ 90°, by intensity:
d/Å, intensity, h k l
2.562, 100, 1 0 5
2.116, 95, 1 1 4
2.500, 56, 1 1 0
2.146, 49, 2 0 1
1.455, 35, 2 1 5
1.250, 23, 2 2 0
1.357, 22, 3 0 4
2.004, 21, 2 0 3
4.178, 20, 1 0 1
1.368, 19, 2 0 9

Structural model:
a = 5.0009 Å, b = 5.0009 Å, c = 15.8887 Å
α = 90.00°, β = 90.00°, γ = 120.00°
Space group P6_3/mmc (No. 194)
Asymmetric unit:
Tm1 0.3333 0.6667 0.0418 (multiplicity 4)
Tm2 0.3333 0.6667 0.2500 (multiplicity 2)
Al1 0.3333 0.6667 0.7500 (multiplicity 2)
Ni1 0.0000 0.0000 0.0000 (multiplicity 2)
Ni2 0.0000 0.0000 0.2500 (multiplicity 2)
Ni3 0.1659 0.3318 0.6257 (multiplicity 12)

For Sc, a crystal structure in OQMD, relaxed with PBE gives the computed PXRD pattern in this record (Cu Kα X-rays).
Neutral-atom scattering factors, no anomalous dispersion.

Most intense lines, 15° ≤ 2θ ≤ 90°, by intensity:
d/Å, intensity, h k l
2.598, 100, 5 1 1
2.571, 99, 1 3 1
2.541, 57, 0 0 2
2.021, 21, 5 3 1
1.271, 21, 0 0 4
3.006, 20, 4 2 0
2.341, 17, 3 3 1
2.303, 16, 6 2 0
1.478, 14, 5 1 3
2.670, 14, 6 0 0

Structural model:
a = 16.0207 Å, b = 9.0984 Å, c = 5.0822 Å
α = 90.00°, β = 90.00°, γ = 90.00°
Space group Cmce (No. 64)
Asymmetric unit:
Sc1 0.0000 0.1644 0.0331 (multiplicity 8)
Sc2 0.1038 0.0000 0.5000 (multiplicity 8)
Sc3 0.1852 0.1539 0.9951 (multiplicity 16)

For ReBrCl4, a crystal structure in OQMD, relaxed with PBE gives the computed PXRD pattern in this record (Cu Kα X-rays).
Neutral-atom scattering factors, no anomalous dispersion.

Most intense lines, 15° ≤ 2θ ≤ 90°, by intensity:
d/Å, intensity, h k l
5.589, 100, 1 0 0
5.905, 94, 0 1 -1
2.773, 44, 1 1 1
2.755, 43, 1 0 -3
4.086, 42, 0 1 1
2.804, 42, 2 -2 1
2.160, 39, 2 -3 2
5.146, 36, 1 0 -1
4.268, 35, 0 0 2
1.831, 33, 3 -1 2

Structural model:
a = 6.3967 Å, b = 6.9456 Å, c = 9.2337 Å
α = 109.72°, β = 90.26°, γ = 117.03°
Space group P-1 (No. 2)
Asymmetric unit:
Re1 0.1007 0.2081 0.2117 (multiplicity 2)
Br1 0.1230 0.6196 0.8532 (multiplicity 2)
Cl1 0.0623 0.8163 0.5745 (multiplicity 2)
Cl2 0.2367 0.1802 0.9568 (multiplicity 2)
Cl3 0.2937 0.0112 0.2391 (multiplicity 2)
Cl4 0.4303 0.5587 0.3337 (multiplicity 2)

For Y2PuSe3, a crystal structure in OQMD, relaxed with PBE gives the computed PXRD pattern in this record (Cu Kα X-rays).
Neutral-atom scattering factors, no anomalous dispersion.

Most intense lines, 15° ≤ 2θ ≤ 90°, by intensity:
d/Å, intensity, h k l
2.899, 100, 1 0 3
2.051, 62, 1 2 3
1.296, 22, 2 2 6
3.347, 14, 1 1 0
1.676, 13, 0 2 6
1.671, 13, 2 2 0
1.185, 13, 1 2 9
1.182, 12, 3 2 3
2.045, 12, 2 0 0
5.246, 12, 0 1 1

Structural model:
a = 4.0908 Å, b = 5.7971 Å, c = 12.3239 Å
α = 90.00°, β = 90.00°, γ = 90.00°
Space group Immm (No. 71)
Asymmetric unit:
Y1 0.0000 0.0000 0.1670 (multiplicity 4)
Pu1 0.0000 0.0000 0.5000 (multiplicity 2)
Se1 0.0000 0.5000 0.1684 (multiplicity 4)
Se2 0.0000 0.5000 0.5000 (multiplicity 2)

For Na2InSnAu2, a crystal structure in OQMD, relaxed with PBE gives the computed PXRD pattern in this record (Cu Kα X-rays).
Neutral-atom scattering factors, no anomalous dispersion.

Most intense lines, 15° ≤ 2θ ≤ 90°, by intensity:
d/Å, intensity, h k l
2.465, 100, 1 1 0
1.936, 73, 1 1 2
4.269, 62, 1 0 0
2.523, 61, 1 0 2
3.128, 46, 0 0 2
1.320, 28, 1 1 4
1.434, 21, 2 1 2
1.763, 21, 2 0 2
1.295, 20, 3 0 2
3.526, 20, 1 0 1

Structural model:
a = 4.9293 Å, b = 4.9293 Å, c = 6.2556 Å
α = 90.00°, β = 90.00°, γ = 120.00°
Space group P-6m2 (No. 187)
Asymmetric unit:
Na1 0.0000 0.0000 0.2495 (multiplicity 2)
In1 0.3333 0.6667 0.5000 (multiplicity 1)
Sn1 0.6667 0.3333 0.0000 (multiplicity 1)
Au1 0.3333 0.6667 0.0000 (multiplicity 1)
Au2 0.6667 0.3333 0.5000 (multiplicity 1)